Diffraction record for TbH3O3. The X-ray powder pattern is simulated, not measured: it uses a crystal structure in the Materials Project, relaxed with PBE and Cu Kα, 1.54184 Å.

Main lines, by angle (10 to 90 degrees two-theta):
| h k l | two_theta | I_rel |
| --- | --- | --- |
| 1 0 0 | 16.14 | 99 |
| 1 1 0 | 28.14 | 73 |
| 1 0 1 | 29.73 | 100 |
| 2 0 1 | 41.39 | 68 |
| 3 0 0 | 49.80 | 25 |
| 0 0 2 | 50.81 | 75 |
| 1 1 2 | 59.14 | 20 |
| 1 3 1 | 66.70 | 21 |
| 3 0 2 | 73.93 | 21 |
| 2 3 1 | 80.85 | 27 |

Atomic structure:
```
data_TbH3O3
_chemical_formula_sum 'Tb2 H6 O6'
_cell_length_a 6.3424
_cell_length_b 6.3424
_cell_length_c 3.5902
_cell_angle_alpha 90.00
_cell_angle_beta 90.00
_cell_angle_gamma 120.00
_space_group_name_H-M_alt 'P 63/m'
_space_group_IT_number 176
_space_group_name_Hall '-P 6c'
loop_
_atom_site_label
_atom_site_type_symbol
_atom_site_fract_x
_atom_site_fract_y
_atom_site_fract_z
Tb1 Tb 0.3333 0.6667 0.2500
H1 H 0.1347 0.2750 0.7500
O1 O 0.0828 0.3957 0.7500
```